# TmGa2
Computed XRD peak list, a wavelength of 1.5418 Å. Input: a cell relaxed with GGA-PBE.

Peak list (10 most intense, 2θ from 10° to 90°, sorted by position)
- 2θ 23.62, d 3.767, I 180
- 2θ 33.13, d 2.704, I 552
- 2θ 34.13, d 2.627, I 365
- 2θ 35.36, d 2.538, I 1000
- 2θ 35.52, d 2.527, I 204
- 2θ 39.36, d 2.289, I 399
- 2θ 40.93, d 2.205, I 174
- 2θ 42.58, d 2.123, I 304
- 2θ 55.66, d 1.651, I 180
- 2θ 65.07, d 1.433, I 233

Structural model:
a b c (Å): 5.7387 5.7387 5.7387
angles (deg): 136.57 106.45 89.46
Atoms (fractional coordinates):
Tm: 0.3063 0.0563 0.2500
Tm: 0.6937 0.9437 0.7500
Ga: 0.1109 0.6611 0.4499
Ga: 0.2888 0.3389 0.9499
Ga: 0.7112 0.6611 0.0501
Ga: 0.8891 0.3389 0.5501